1.
The following is a computed powder diffraction line list of Li6NbFe5O12. It was derived from a structure optimized by DFT (GGA+U), using a wavelength of 1.5418 Å.
Neutral-atom scattering factors, no anomalous dispersion.

Most intense lines, 2θ from 5° to 70°, in order of rising 2θ:
- 2θ 17.4, intensity 100
- 2θ 34.9, intensity 11
- 2θ 35.0, intensity 23
- 2θ 36.3, intensity 19
- 2θ 36.8, intensity 12
- 2θ 41.5, intensity 12
- 2θ 42.2, intensity 22
- 2θ 45.4, intensity 23
- 2θ 55.2, intensity 14
- 2θ 61.7, intensity 12

Atomic structure:
Unit cell a=5.213 b=5.213 c=10.310 alpha=94.15 beta=94.15 gamma=120.15
Fractional positions:
1 Li 0.000 0.000 0.000
2 Li 0.088 0.439 0.499
3 Li 0.343 0.685 0.010
4 Li 0.439 0.088 0.499
5 Li 0.685 0.343 0.010
6 Li 0.768 0.768 0.495
7 Nb 0.364 0.364 0.253
8 Fe 0.055 0.724 0.252
9 Fe 0.221 0.553 0.753
10 Fe 0.553 0.221 0.753
11 Fe 0.724 0.055 0.252
12 Fe 0.885 0.885 0.749
13 O 0.042 0.355 0.130
14 O 0.102 0.102 0.378
15 O 0.185 0.848 0.640
16 O 0.253 0.253 0.861
17 O 0.355 0.042 0.130
18 O 0.406 0.728 0.366
19 O 0.519 0.519 0.642
20 O 0.589 0.921 0.865
21 O 0.680 0.680 0.144
22 O 0.728 0.406 0.366
23 O 0.848 0.185 0.640
24 O 0.921 0.589 0.865

---

2.
The following is a computed powder diffraction line list of Li3NbFe3O8. It was derived from a structure optimized by DFT (GGA+U), using a wavelength of 1.5418 Å.
Neutral-atom scattering factors, no anomalous dispersion.

Most intense lines, 2θ from 5° to 70°, in order of rising 2θ:
- 2θ 17.9, intensity 100
- 2θ 34.6, intensity 14
- 2θ 35.0, intensity 29
- 2θ 36.4, intensity 10
- 2θ 41.8, intensity 23
- 2θ 42.5, intensity 43
- 2θ 56.0, intensity 9
- 2θ 60.9, intensity 12
- 2θ 61.3, intensity 13
- 2θ 61.6, intensity 12

Atomic structure:
Unit cell a=6.017 b=6.019 c=6.045 alpha=60.18 beta=60.58 gamma=89.96
Fractional positions:
1 Li 0.000 0.000 0.000
2 Li 0.000 0.000 0.500
3 Li 0.000 0.500 0.000
4 Nb 0.500 0.500 0.500
5 Fe 0.500 0.000 0.000
6 Fe 0.500 0.000 0.500
7 Fe 0.500 0.500 0.000
8 O 0.261 0.262 0.977
9 O 0.270 0.257 0.496
10 O 0.271 0.749 0.496
11 O 0.293 0.770 0.963
12 O 0.707 0.230 0.037
13 O 0.729 0.251 0.504
14 O 0.730 0.743 0.504
15 O 0.739 0.738 0.023

---

3.
The following is a computed powder diffraction line list of LiNbFeO4. It was derived from a structure optimized by DFT (GGA+U), using a wavelength of 1.5418 Å.
Neutral-atom scattering factors, no anomalous dispersion.

Most intense lines, 2θ from 5° to 70°, in order of rising 2θ:
- 2θ 17.3, intensity 34
- 2θ 17.5, intensity 100
- 2θ 33.5, intensity 39
- 2θ 33.8, intensity 28
- 2θ 35.1, intensity 14
- 2θ 40.6, intensity 23
- 2θ 40.8, intensity 21
- 2θ 41.3, intensity 20
- 2θ 59.0, intensity 12
- 2θ 59.3, intensity 12

Atomic structure:
Unit cell a=6.267 b=6.267 c=8.735 alpha=90.51 beta=90.51 gamma=90.31
Fractional positions:
1 Li 0.000 0.000 0.000
2 Li 0.049 0.453 0.251
3 Li 0.501 0.499 0.500
4 Li 0.547 0.951 0.749
5 Nb 0.046 0.747 0.646
6 Nb 0.253 0.954 0.354
7 Nb 0.545 0.248 0.146
8 Nb 0.752 0.455 0.854
9 Fe 0.032 0.228 0.621
10 Fe 0.271 0.468 0.878
11 Fe 0.532 0.729 0.122
12 Fe 0.772 0.968 0.379
13 O 0.003 0.261 0.860
14 O 0.003 0.714 0.863
15 O 0.044 0.733 0.389
16 O 0.049 0.190 0.389
17 O 0.238 0.497 0.638
18 O 0.267 0.956 0.611
19 O 0.286 0.997 0.137
20 O 0.311 0.454 0.112
21 O 0.503 0.762 0.362
22 O 0.505 0.215 0.363
23 O 0.544 0.232 0.889
24 O 0.546 0.689 0.888
25 O 0.739 0.997 0.140
26 O 0.768 0.456 0.111
27 O 0.785 0.495 0.637
28 O 0.810 0.951 0.611

---

4.
The following is a computed powder diffraction line list of Li2Nb2Fe3O10. It was derived from a structure optimized by DFT (GGA+U), using a wavelength of 1.5418 Å.
Neutral-atom scattering factors, no anomalous dispersion.

Most intense lines, 2θ from 5° to 70°, in order of rising 2θ:
- 2θ 11.9, intensity 28
- 2θ 17.5, intensity 62
- 2θ 18.1, intensity 100
- 2θ 21.9, intensity 27
- 2θ 25.8, intensity 32
- 2θ 29.7, intensity 22
- 2θ 35.3, intensity 22
- 2θ 40.2, intensity 46
- 2θ 42.4, intensity 41
- 2θ 42.8, intensity 43

Atomic structure:
Unit cell a=5.202 b=5.351 c=8.072 alpha=73.15 beta=71.66 gamma=78.22
Fractional positions:
1 Li 0.000 0.000 0.000
2 Li 0.134 0.971 0.353
3 Nb 0.516 0.665 0.074
4 Nb 0.629 0.506 0.444
5 Fe 0.059 0.597 0.752
6 Fe 0.535 0.272 0.888
7 Fe 0.540 0.930 0.659
8 O 0.313 0.667 0.895
9 O 0.319 0.011 0.093
10 O 0.325 0.799 0.539
11 O 0.340 0.281 0.697
12 O 0.354 0.479 0.309
13 O 0.777 0.905 0.833
14 O 0.785 0.152 0.451
15 O 0.788 0.713 0.210
16 O 0.804 0.593 0.604
17 O 0.814 0.387 0.972